[1]
This entry pairs a crystal structure of LiBCl4 with its computed powder X-ray diffraction pattern. Radiation: CuKα. Structure: a structure optimized by DFT (GGA-PBE).
Intensities are scaled so that the largest is 100.

Main lines, in order of rising 2θ (2θ = 15–90°):
2θ 18.24, intensity 60
2θ 29.53, intensity 100
2θ 30.95, intensity 22
2θ 36.16, intensity 31
2θ 40.07, intensity 10
2θ 46.37, intensity 20
2θ 48.32, intensity 11
2θ 51.47, intensity 14
2θ 58.50, intensity 10
2θ 74.76, intensity 8

Unit cell a=5.778 b=5.778 c=9.002 alpha=90.00 beta=90.00 gamma=90.00
Atoms (fractional coordinates):
1 Li 0.000 0.000 0.000
2 Li 0.500 0.500 0.500
3 B 0.000 0.500 0.250
4 B 0.500 0.000 0.750
5 Cl 0.185 0.691 0.368
6 Cl 0.191 0.315 0.132
7 Cl 0.309 0.185 0.632
8 Cl 0.315 0.809 0.868
9 Cl 0.685 0.191 0.868
10 Cl 0.691 0.815 0.632
11 Cl 0.809 0.685 0.132
12 Cl 0.815 0.309 0.368

=====

[2]
This entry pairs a crystal structure of Li4B7ClO12 with its computed powder X-ray diffraction pattern. Radiation: CuKα. Structure: a structure optimized by DFT (GGA-PBE).
Intensities are scaled so that the largest is 100.

Main lines, in order of rising 2θ (2θ = 15–90°):
2θ 25.14, intensity 100
2θ 32.64, intensity 41
2θ 35.86, intensity 21
2θ 41.65, intensity 7
2θ 43.64, intensity 67
2θ 53.88, intensity 6
2θ 56.08, intensity 7
2θ 57.71, intensity 8
2θ 62.40, intensity 11
2θ 75.95, intensity 7

Unit cell a=8.668 b=8.668 c=8.668 alpha=60.11 beta=60.11 gamma=60.11
Atoms (fractional coordinates):
1 Li 0.000 0.000 0.000
2 Li 0.096 0.666 0.668
3 Li 0.166 0.596 0.168
4 Li 0.168 0.166 0.596
5 Li 0.500 0.500 0.500
6 Li 0.596 0.168 0.166
7 Li 0.666 0.668 0.096
8 Li 0.668 0.096 0.666
9 B 0.233 0.233 0.233
10 B 0.240 0.829 0.241
11 B 0.241 0.240 0.829
12 B 0.329 0.740 0.741
13 B 0.382 0.884 0.392
14 B 0.384 0.882 0.892
15 B 0.392 0.382 0.884
16 B 0.733 0.733 0.733
17 B 0.740 0.741 0.329
18 B 0.741 0.329 0.740
19 B 0.829 0.241 0.240
20 B 0.882 0.892 0.384
21 B 0.884 0.392 0.382
22 B 0.892 0.384 0.882
23 Cl 0.381 0.381 0.381
24 Cl 0.881 0.881 0.881
25 O 0.069 0.248 0.385
26 O 0.073 0.843 0.240
27 O 0.079 0.394 0.827
28 O 0.240 0.073 0.843
29 O 0.248 0.385 0.069
30 O 0.248 0.818 0.401
31 O 0.318 0.748 0.901
32 O 0.327 0.894 0.579
33 O 0.343 0.573 0.740
34 O 0.385 0.069 0.248
35 O 0.394 0.827 0.079
36 O 0.401 0.248 0.818
37 O 0.569 0.885 0.748
38 O 0.573 0.740 0.343
39 O 0.579 0.327 0.894
40 O 0.740 0.343 0.573
41 O 0.748 0.569 0.885
42 O 0.748 0.901 0.318
43 O 0.818 0.401 0.248
44 O 0.827 0.079 0.394
45 O 0.843 0.240 0.073
46 O 0.885 0.748 0.569
47 O 0.894 0.579 0.327
48 O 0.901 0.318 0.748

=====

[3]
This entry pairs a crystal structure of Rb2LiBCl6 with its computed powder X-ray diffraction pattern. Radiation: CuKα. Structure: a structure optimized by DFT (GGA-PBE).
Intensities are scaled so that the largest is 100.

Main lines, in order of rising 2θ (2θ = 15–90°):
2θ 16.65, intensity 11
2θ 23.62, intensity 11
2θ 25.76, intensity 25
2θ 30.83, intensity 100
2θ 33.65, intensity 50
2θ 39.64, intensity 10
2θ 42.86, intensity 12
2θ 48.33, intensity 16
2θ 52.96, intensity 16
2θ 58.43, intensity 26

Unit cell a=7.003 b=7.003 c=7.003 alpha=114.93 beta=114.93 gamma=99.02
Atoms (fractional coordinates):
1 Rb 0.250 0.750 0.500
2 Rb 0.750 0.250 0.500
3 Li 0.000 0.000 0.000
4 B 0.500 0.500 0.000
5 Cl 0.234 0.234 0.468
6 Cl 0.234 0.766 0.000
7 Cl 0.316 0.316 0.000
8 Cl 0.684 0.684 0.000
9 Cl 0.766 0.234 0.000
10 Cl 0.766 0.766 0.532

=====

[4]
This entry pairs a crystal structure of LiYBCl2 with its computed powder X-ray diffraction pattern. Radiation: CuKα. Structure: a structure optimized by DFT (GGA-PBE).
Intensities are scaled so that the largest is 100.

Main lines, in order of rising 2θ (2θ = 15–90°):
2θ 17.24, intensity 70
2θ 21.64, intensity 100
2θ 26.14, intensity 55
2θ 31.48, intensity 32
2θ 34.89, intensity 49
2θ 37.37, intensity 57
2θ 41.43, intensity 34
2θ 44.11, intensity 47
2θ 53.82, intensity 25
2θ 65.74, intensity 23

Unit cell a=5.144 b=5.144 c=6.818 alpha=90.00 beta=90.00 gamma=90.00
Atoms (fractional coordinates):
1 Li 0.000 0.000 0.000
2 Y 0.000 0.000 0.500
3 B 0.500 0.500 0.000
4 Cl 0.000 0.500 0.500
5 Cl 0.500 0.000 0.500

=====

[5]
This entry pairs a crystal structure of MnB2Cl8 with its computed powder X-ray diffraction pattern. Radiation: CuKα. Structure: a structure optimized by DFT (GGA-PBE).
Intensities are scaled so that the largest is 100.

Main lines, in order of rising 2θ (2θ = 15–90°):
2θ 18.03, intensity 36
2θ 18.66, intensity 53
2θ 20.29, intensity 30
2θ 20.86, intensity 22
2θ 27.21, intensity 23
2θ 29.68, intensity 100
2θ 30.26, intensity 49
2θ 33.86, intensity 31
2θ 40.50, intensity 22
2θ 41.15, intensity 27

Unit cell a=9.556 b=9.556 c=10.592 alpha=121.06 beta=121.06 gamma=55.48
Atoms (fractional coordinates):
1 Mn 0.018 0.982 0.750
2 Mn 0.982 0.018 0.250
3 B 0.141 0.684 0.453
4 B 0.316 0.859 0.047
5 B 0.684 0.141 0.953
6 B 0.859 0.316 0.547
7 Cl 0.083 0.218 0.518
8 Cl 0.095 0.711 0.268
9 Cl 0.175 0.737 0.875
10 Cl 0.218 0.083 0.018
11 Cl 0.262 0.452 0.438
12 Cl 0.263 0.825 0.625
13 Cl 0.289 0.905 0.232
14 Cl 0.452 0.262 0.938
15 Cl 0.548 0.738 0.062
16 Cl 0.711 0.095 0.768
17 Cl 0.737 0.175 0.375
18 Cl 0.738 0.548 0.562
19 Cl 0.782 0.917 0.982
20 Cl 0.825 0.263 0.125
21 Cl 0.905 0.289 0.732
22 Cl 0.917 0.782 0.482

=====

[6]
This entry pairs a crystal structure of BMo2Cl with its computed powder X-ray diffraction pattern. Radiation: CuKα. Structure: a structure optimized by DFT (GGA-PBE).
Intensities are scaled so that the largest is 100.

Main lines, in order of rising 2θ (2θ = 15–90°):
2θ 26.37, intensity 4
2θ 30.54, intensity 56
2θ 43.73, intensity 100
2θ 51.79, intensity 1
2θ 54.27, intensity 15
2θ 63.56, intensity 16
2θ 70.05, intensity 1
2θ 72.15, intensity 19
2θ 80.34, intensity 32

Unit cell a=5.855 b=5.855 c=5.855 alpha=90.00 beta=90.00 gamma=90.00
Atoms (fractional coordinates):
1 B 0.000 0.000 0.000
2 B 0.000 0.500 0.500
3 B 0.500 0.000 0.500
4 B 0.500 0.500 0.000
5 Mo 0.250 0.250 0.250
6 Mo 0.250 0.250 0.750
7 Mo 0.250 0.750 0.250
8 Mo 0.250 0.750 0.750
9 Mo 0.750 0.250 0.250
10 Mo 0.750 0.250 0.750
11 Mo 0.750 0.750 0.250
12 Mo 0.750 0.750 0.750
13 Cl 0.000 0.000 0.500
14 Cl 0.000 0.500 0.000
15 Cl 0.500 0.000 0.000
16 Cl 0.500 0.500 0.500